Theoretical powder diffractogram
Compound: Li3YAl3
Radiation: Cu Kα, 1.54184 Å
Structure: a GGA-PBE-relaxed structure
Kinematic intensities with the Lorentz-polarization factor, no thermal factor.

Main lines, low angle first (2θ = 10–90°):
2θ/deg	Rel. int.	hkl
18.70	44.6	1 1 0
26.57	43.7	2 0 0
29.77	16.7	2 1 0
32.69	100.0	2 1 1
50.92	55.2	3 2 1
61.84	15.2	4 2 0

Structure:
Lattice parameters (Å, degrees): 6.710 6.710 6.710 90.00 90.00 90.00
Fractional coordinates of all 14 atoms:
Li  0.000  0.250  0.500
Li  0.000  0.750  0.500
Li  0.250  0.500  0.000
Li  0.500  0.000  0.250
Li  0.500  0.000  0.750
Li  0.750  0.500  0.000
Y  0.000  0.000  0.000
Y  0.500  0.500  0.500
Al  0.000  0.500  0.250
Al  0.000  0.500  0.750
Al  0.250  0.000  0.500
Al  0.500  0.250  0.000
Al  0.500  0.750  0.000
Al  0.750  0.000  0.500